# 1
For Tl3WCl6, a cell relaxed with PBE gives the calculated XRD peak list in this record (λ = 1.5418 Å (Cu Kα)).
No peak broadening, texture or thermal motion is included.

Cell and atoms:
Cell lengths 7.225, 8.077, 12.708 Å; angles 90.00, 122.80, 90.00 degrees
Atoms (fractional coordinates):
Tl 0.000 0.000 0.000
Tl 0.000 0.500 0.500
Tl 0.213 0.067 0.739
Tl 0.213 0.433 0.239
Tl 0.787 0.567 0.761
Tl 0.787 0.933 0.261
W 0.500 0.000 0.500
W 0.500 0.500 0.000
Cl 0.183 0.158 0.468
Cl 0.183 0.342 0.968
Cl 0.275 0.747 0.431
Cl 0.275 0.753 0.931
Cl 0.390 0.056 0.284
Cl 0.390 0.444 0.784
Cl 0.610 0.556 0.216
Cl 0.610 0.944 0.716
Cl 0.725 0.247 0.069
Cl 0.725 0.253 0.569
Cl 0.817 0.658 0.032
Cl 0.817 0.842 0.532

Largest 10 diffraction maxima, by angle, 5 to 70 degrees two-theta:
| d [Å] | I/Imax |
| --- | --- |
| 4.039 | 44.7 |
| 3.837 | 100.0 |
| 3.747 | 97.0 |
| 3.611 | 43.7 |
| 2.692 | 43.7 |
| 2.670 | 39.3 |
| 2.461 | 16.7 |
| 2.227 | 23.2 |
| 2.142 | 26.9 |
| 2.095 | 23.6 |

# 2
For Nd6Cd5Si7, a cell relaxed with PBE gives the calculated XRD peak list in this record (λ = 1.5418 Å (Cu Kα)).
No peak broadening, texture or thermal motion is included.

Cell and atoms:
Cell lengths 5.932, 5.932, 17.633 Å; angles 101.74, 101.74, 42.73 degrees
Atoms (fractional coordinates):
Nd 0.000 0.000 0.000
Nd 0.231 0.231 0.856
Nd 0.269 0.269 0.645
Nd 0.510 0.510 0.524
Nd 0.547 0.547 0.309
Nd 0.787 0.787 0.177
Cd 0.182 0.182 0.445
Cd 0.297 0.297 0.040
Cd 0.597 0.597 0.723
Cd 0.873 0.873 0.384
Cd 0.908 0.908 0.785
Si 0.077 0.077 0.188
Si 0.256 0.256 0.299
Si 0.498 0.498 0.139
Si 0.519 0.519 0.870
Si 0.704 0.704 0.973
Si 0.796 0.796 0.528
Si 0.981 0.981 0.640

Largest 10 diffraction maxima, by angle, 5 to 70 degrees two-theta:
| d [Å] | I/Imax |
| --- | --- |
| 3.839 | 19.2 |
| 2.803 | 42.3 |
| 2.765 | 35.5 |
| 2.751 | 17.1 |
| 2.724 | 100.0 |
| 2.673 | 23.2 |
| 2.650 | 18.4 |
| 2.341 | 20.5 |
| 2.161 | 33.2 |
| 1.481 | 18.4 |

# 3
For Ca2Sn5Pb, a cell relaxed with PBE gives the calculated XRD peak list in this record (λ = 1.5418 Å (Cu Kα)).
No peak broadening, texture or thermal motion is included.

Cell and atoms:
Cell lengths 6.713, 13.475, 4.879 Å; angles 90.00, 90.00, 90.00 degrees
Atoms (fractional coordinates):
Ca 0.249 0.127 0.000
Ca 0.251 0.627 0.000
Ca 0.749 0.373 0.000
Ca 0.751 0.873 0.000
Sn 0.000 0.000 0.500
Sn 0.002 0.752 0.500
Sn 0.248 0.874 0.000
Sn 0.252 0.374 0.000
Sn 0.498 0.252 0.500
Sn 0.500 0.500 0.500
Sn 0.502 0.748 0.500
Sn 0.748 0.626 0.000
Sn 0.752 0.126 0.000
Sn 0.998 0.248 0.500
Pb 0.000 0.500 0.500
Pb 0.500 0.000 0.500

Largest 10 diffraction maxima, by angle, 5 to 70 degrees two-theta:
| d [Å] | I/Imax |
| --- | --- |
| 4.879 | 6.9 |
| 2.769 | 100.0 |
| 2.440 | 17.7 |
| 2.378 | 32.9 |
| 1.703 | 24.0 |
| 1.464 | 14.8 |
| 1.438 | 13.9 |
| 1.436 | 13.8 |
| 1.386 | 6.2 |
| 1.383 | 6.1 |

# 4
For K3Pu2Te6Pb, a cell relaxed with PBE gives the calculated XRD peak list in this record (λ = 1.5418 Å (Cu Kα)).
No peak broadening, texture or thermal motion is included.

Cell and atoms:
Cell lengths 7.992, 7.992, 8.572 Å; angles 98.95, 98.95, 119.99 degrees
Atoms (fractional coordinates):
K 0.000 0.000 0.000
K 0.339 0.661 0.000
K 0.661 0.339 0.000
Pu 0.167 0.833 0.500
Pu 0.833 0.167 0.500
Te 0.080 0.430 0.290
Te 0.220 0.220 0.708
Te 0.430 0.080 0.290
Te 0.570 0.920 0.710
Te 0.780 0.780 0.292
Te 0.920 0.570 0.710
Pb 0.500 0.500 0.500

Largest 10 diffraction maxima, by angle, 5 to 70 degrees two-theta:
| d [Å] | I/Imax |
| --- | --- |
| 8.147 | 59.4 |
| 3.944 | 15.2 |
| 3.344 | 100.0 |
| 2.629 | 14.6 |
| 2.427 | 35.5 |
| 2.307 | 37.7 |
| 2.220 | 16.1 |
| 1.942 | 13.0 |
| 1.899 | 19.8 |
| 1.466 | 16.3 |